Theoretical PXRD pattern
Compound: SmTl2MoO6
Radiation: Cu Kα
Structure: the GGA+U geometry in Alexandria
Neutral-atom scattering factors, no anomalous dispersion.

The 10 most intense peaks (15° ≤ 2θ ≤ 90°), by angle:
| d (Å) | I (rel.) | hkl |
| --- | --- | --- |
| 4.108 | 57 | 0 1 1 |
| 3.235 | 100 | 1 1 0 |
| 3.021 | 20 | 0 0 2 |
| 2.852 | 41 | 1 1 1 |
| 2.541 | 18 | 0 2 1 |
| 2.208 | 73 | 1 1 2 |
| 1.998 | 21 | 1 2 1 |
| 1.867 | 20 | 3 0 0 |
| 1.588 | 27 | 3 0 2 |
| 1.133 | 17 | 1 4 2 |

Crystal structure
Unit cell a=6.4691 b=6.4691 c=6.0422 alpha=90.00 beta=90.00 gamma=120.00
Element x y z (fractional)
Sm 0.0000 0.0000 0.0000
Tl 0.3333 0.6667 0.4697
Tl 0.6667 0.3333 0.5303
Mo 0.0000 0.0000 0.5000
O 0.1368 0.2736 0.2979
O 0.1368 0.8632 0.2979
O 0.2736 0.1368 0.7021
O 0.7264 0.8632 0.2979
O 0.8632 0.1368 0.7021
O 0.8632 0.7264 0.7021